Nd2Zn3Au: simulated powder XRD pattern (CuKα), based on a cell relaxed with GGA-PBE.
Peak positions follow from Bragg's law for the DFT cell and can differ from measured ones.

Peak list (8 most intense, 2θ = 15–90°, by angle)
27.57 deg, I = 24.1; 32.16 deg, I = 100.0; 35.38 deg, I = 37.0; 35.98 deg, I = 24.3; 41.92 deg, I = 22.5; 43.99 deg, I = 19.6; 45.61 deg, I = 19.1; 57.67 deg, I = 18.0

Cell and atoms:
Unit cell a=8.3932 b=8.3932 c=8.3932 alpha=151.61 beta=150.25 gamma=41.59
Element x y z (fractional)
Nd  0.0000  0.0000  0.0000
Nd  0.7485  0.2485  0.5000
Zn  0.1711  0.6711  0.5000
Zn  0.3306  0.8306  0.5000
Zn  0.4140  0.4140  0.0000
Au  0.5809  0.5809  0.0000